The following is a simulated powder XRD pattern of Pr3Y6ErSc2. It was derived from a cell relaxed with GGA-PBE, using Cu Kα (weighted mean of Kα1 and Kα2).

Structure:
Unit cell a=6.171 b=10.690 c=11.719 alpha=90.00 beta=100.12 gamma=90.00
Space group C2/m (No. 12)
Unique sites:
Pr1 0.000 0.000 0.000
Pr2 0.000 0.333 0.000
Y1 0.244 0.000 0.740
Y2 0.248 0.332 0.740
Er1 0.000 0.500 0.500
Sc1 0.000 0.167 0.500

Most intense lines, 10° ≤ 2θ ≤ 80°, in order of rising 2θ:
30.8 deg, I = 100
31.0 deg, I = 32
35.7 deg, I = 65
51.3 deg, I = 23
51.6 deg, I = 22
61.0 deg, I = 14
61.1 deg, I = 26
61.4 deg, I = 12